(1)
Fe3O2F4: theoretical PXRD pattern (copper Kα), based on a cell relaxed with GGA+U.

Most intense lines, 15° ≤ 2θ ≤ 90°, by angle:
- hkl 1 -1 1, 2θ = 26.3°, rel. 100
- hkl 1 1 -1, 2θ = 26.5°, rel. 94
- hkl 0 0 3, 2θ = 34.0°, rel. 50
- hkl 0 2 1, 2θ = 34.1°, rel. 25
- hkl 1 1 2, 2θ = 34.3°, rel. 25
- hkl 1 -3 0, 2θ = 51.5°, rel. 41
- hkl 1 -1 4, 2θ = 51.6°, rel. 27
- hkl 1 3 0, 2θ = 52.0°, rel. 30

a b c (Å): 4.753 5.722 7.928
angles (deg): 93.88 90.34 90.70
Space group P-1 (No. 2)
Inequivalent atoms, fractional coordinates:
Fe (0.000, 0.000, 0.000)
Fe (0.002, 0.353, 0.357)
Fe (0.451, 0.170, 0.687)
Fe (0.500, 0.500, 0.000)
O (0.209, 0.364, 0.571)
O (0.293, 0.188, 0.907)
F (0.185, 0.706, 0.889)
F (0.202, 0.035, 0.238)
F (0.292, 0.551, 0.237)
F (0.308, 0.872, 0.565)

(2)
Fe4OF8: theoretical PXRD pattern (copper Kα), based on a cell relaxed with GGA+U.

Most intense lines, 15° ≤ 2θ ≤ 90°, by angle:
- hkl 2 0 0, 2θ = 18.9°, rel. 55
- hkl 1 1 0, 2θ = 19.1°, rel. 100
- hkl 2 0 2, 2θ = 22.4°, rel. 35
- hkl 2 0 -4, 2θ = 30.4°, rel. 26
- hkl 1 1 4, 2θ = 30.7°, rel. 42
- hkl 3 1 0, 2θ = 33.1°, rel. 30
- hkl 4 0 4, 2θ = 45.8°, rel. 24
- hkl 0 2 6, 2θ = 50.0°, rel. 43

a b c (Å): 9.402 5.359 14.956
angles (deg): 90.00 90.51 90.00
Space group Cc (No. 9)
Inequivalent atoms, fractional coordinates:
Fe (0.000, 0.004, 0.000)
Fe (0.002, 0.029, 0.695)
Fe (0.158, 0.473, 0.544)
Fe (0.170, 0.484, 0.337)
O (0.024, 0.267, 0.592)
F (0.031, 0.306, 0.269)
F (0.040, 0.347, 0.939)
F (0.145, 0.202, 0.093)
F (0.152, 0.203, 0.778)
F (0.158, 0.214, 0.434)
F (0.308, 0.395, 0.938)
F (0.330, 0.369, 0.273)
F (0.343, 0.365, 0.594)

(3)
Fe6O5F7: theoretical PXRD pattern (copper Kα), based on a cell relaxed with GGA+U.

Most intense lines, 15° ≤ 2θ ≤ 90°, by angle:
- hkl 1 1 1, 2θ = 26.1°, rel. 100
- hkl -1 1 1, 2θ = 26.7°, rel. 98
- hkl 0 2 -1, 2θ = 34.5°, rel. 77
- hkl 1 3 0, 2θ = 51.6°, rel. 30
- hkl 2 0 3, 2θ = 51.7°, rel. 29
- hkl -1 1 4, 2θ = 52.2°, rel. 27
- hkl 1 -3 0, 2θ = 52.3°, rel. 30
- hkl 0 4 1, 2θ = 66.0°, rel. 31

a b c (Å): 4.782 5.697 7.831
angles (deg): 85.40 89.41 88.87
Space group P1 (No. 1)
Inequivalent atoms, fractional coordinates:
Fe (0.000, 0.000, 0.000)
Fe (0.003, 0.661, 0.330)
Fe (0.445, 0.139, 0.321)
Fe (0.457, 0.476, 0.005)
Fe (0.480, 0.804, 0.640)
Fe (0.929, 0.339, 0.677)
O (0.166, 0.694, 0.095)
O (0.269, 0.198, 0.089)
O (0.272, 0.845, 0.437)
O (0.769, 0.281, 0.896)
O (0.778, 0.615, 0.557)
F (0.160, 0.354, 0.445)
F (0.170, 0.024, 0.756)
F (0.275, 0.521, 0.760)
F (0.655, 0.781, 0.884)
F (0.673, 0.113, 0.564)
F (0.675, 0.457, 0.230)
F (0.782, 0.945, 0.224)